Starting from a crystal structure in Alexandria, relaxed with PBE+U, the powder diffractogram of SmMn3Ga4O12 was simulated for λ = 1.5418 Å (Cu Kα).

```
data_SmMn3Ga4O12
_chemical_formula_sum 'Sm2 Mn6 Ga8 O24'
_cell_length_a 7.4813
_cell_length_b 7.4813
_cell_length_c 7.4813
_cell_angle_alpha 90.00
_cell_angle_beta 90.00
_cell_angle_gamma 90.00
_symmetry_space_group_name_H-M 'I m -3'
_symmetry_Int_Tables_number 204
_symmetry_space_group_name_Hall '-I 2 2 3'
loop_
_atom_site_label
_atom_site_fract_x
_atom_site_fract_y
_atom_site_fract_z
Sm1 0.0000 0.0000 0.0000
Mn1 0.0000 0.0000 0.5000
Ga1 0.2500 0.2500 0.2500
O1 0.0000 0.3061 0.1750
```

Largest 10 diffraction maxima, sorted by position, 2θ = 10–80°:
two_theta  I/Imax
16.8  14
29.2  5
33.9  100
38.0  10
45.4  10
48.7  25
60.6  48
63.4  3
71.3  13
78.9  3